[1]
Ba3GaS4Cl: calculated XRD peak list (Cu Kα), based on a cell relaxed with PBE.
Lines closer than 0.1° are merged.

Largest 10 diffraction maxima, by angle, 10° ≤ 2θ ≤ 80°:
d [Å], Position (°2θ), I_rel
3.985, 22.31, 45
3.817, 23.30, 36
3.738, 23.81, 100
3.486, 25.55, 28
3.103, 28.77, 87
2.929, 30.52, 44
2.849, 31.40, 31
2.414, 37.25, 41
2.144, 42.14, 27
2.028, 44.68, 24

Structural model:
```
36
Lattice="12.468 0.000 0.000 0.000 9.656 0.000 0.000 0.000 8.564" Properties=species:S:1:pos:R:3 pbc="T T T"
Ba 0.234 2.414 0.716
Ba 2.089 0.196 5.005
Ba 2.089 4.631 5.005
Ba 4.145 5.024 0.723
Ba 4.145 9.459 0.723
Ba 6.000 7.242 4.998
Ba 6.468 2.414 3.566
Ba 8.323 0.196 7.841
Ba 8.323 4.631 7.841
Ba 10.379 5.024 3.559
Ba 10.379 9.459 3.559
Ba 12.234 7.242 7.848
Ga 1.332 7.242 2.667
Ga 4.902 2.414 6.949
Ga 7.566 7.242 1.615
Ga 11.135 2.414 5.897
S 0.089 7.242 4.592
S 0.920 5.292 1.607
S 0.920 9.192 1.607
S 2.652 2.414 7.384
S 3.582 7.242 3.102
S 5.314 0.464 5.889
S 5.314 4.364 5.889
S 6.145 2.414 0.310
S 6.323 7.242 8.254
S 7.154 5.292 2.675
S 7.154 9.192 2.675
S 8.886 2.414 5.462
S 9.816 7.242 1.180
S 11.548 0.464 6.957
S 11.548 4.364 6.957
S 12.379 2.414 3.972
Cl 2.859 7.242 7.152
Cl 3.375 2.414 2.870
Cl 9.093 7.242 5.694
Cl 9.609 2.414 1.412
```


[2]
Ba4GeCl2: calculated XRD peak list (Cu Kα), based on a cell relaxed with PBE.
Lines closer than 0.1° are merged.

Largest 10 diffraction maxima, by angle, 10° ≤ 2θ ≤ 80°:
d [Å], Position (°2θ), I_rel
3.993, 22.26, 25
3.589, 24.81, 50
3.565, 24.98, 100
2.833, 31.58, 23
2.821, 31.72, 40
2.313, 38.94, 33
2.294, 39.28, 16
2.214, 40.75, 24
1.933, 47.02, 17
1.484, 62.58, 16

Structural model:
```
14
Lattice="0.000 8.036 4.587 7.990 0.000 4.587 7.990 8.036 0.000" Properties=species:S:1:pos:R:3 pbc="T T T"
Ba 14.081 9.437 4.592
Ba 5.894 5.419 2.299
Ba 2.096 2.617 2.299
Ba 9.814 6.712 4.587
Ba 6.166 9.359 4.587
Ba 13.809 13.377 6.881
Ba 10.161 10.730 6.881
Ba 1.899 6.635 4.592
Ge 7.990 8.036 2.333
Ge 11.985 12.054 4.626
Cl 8.148 4.015 4.581
Cl 11.827 8.033 6.874
Cl 7.832 12.057 4.581
Cl 4.153 8.039 6.874
```


[3]
Ba6Ge2NCl: calculated XRD peak list (Cu Kα), based on a cell relaxed with PBE.
Lines closer than 0.1° are merged.

Largest 10 diffraction maxima, by angle, 10° ≤ 2θ ≤ 80°:
d [Å], Position (°2θ), I_rel
3.522, 25.28, 33
3.498, 25.46, 33
3.420, 26.05, 26
3.395, 26.25, 45
3.366, 26.48, 100
3.079, 29.00, 21
2.843, 31.47, 41
2.549, 35.21, 28
2.262, 39.86, 19
2.013, 45.04, 17

Structural model:
```
20
Lattice="7.773 0.000 0.000 0.000 8.336 0.000 -7.667 0.000 11.374" Properties=species:S:1:pos:R:3 pbc="T T T"
Ba -2.527 1.755 5.017
Ba -6.360 2.413 10.704
Ba -1.588 5.607 5.018
Ba -5.421 6.897 10.705
Ba 0.877 0.329 2.618
Ba -2.957 3.840 8.305
Ba 3.063 4.497 3.069
Ba -0.770 8.008 8.756
Ba 5.528 1.439 0.669
Ba 1.695 2.729 6.356
Ba 6.466 5.923 0.670
Ba 2.633 6.582 6.357
Ge -4.003 0.616 8.484
Ge -0.170 3.552 2.797
Ge 0.276 4.784 8.577
Ge 4.110 7.720 2.890
N 0.000 0.000 0.000
N -3.833 4.168 5.687
Cl 0.053 0.000 5.687
Cl 3.887 4.168 0.000
```


[4]
Ba4NaGe3S10Cl: calculated XRD peak list (Cu Kα), based on a cell relaxed with PBE.
Lines closer than 0.1° are merged.

Largest 10 diffraction maxima, by angle, 10° ≤ 2θ ≤ 80°:
d [Å], Position (°2θ), I_rel
4.628, 19.18, 33
4.080, 21.79, 41
3.724, 23.89, 58
3.266, 27.30, 50
3.180, 28.06, 32
3.158, 28.26, 65
2.886, 30.98, 100
2.235, 40.35, 31
2.073, 43.67, 32
1.745, 52.45, 32

Structural model:
```
38
Lattice="9.979 0.000 0.000 -4.989 8.642 0.000 0.000 0.000 12.381" Properties=species:S:1:pos:R:3 pbc="T T T"
Ba -0.854 3.043 0.000
Ba -1.927 7.860 0.000
Ba 0.000 5.761 3.855
Ba 2.208 2.261 6.190
Ba 2.782 6.381 0.000
Ba 4.989 2.881 10.045
Ba 6.917 0.782 6.190
Ba 5.844 5.599 6.190
Na 0.000 0.000 3.063
Na 0.000 0.000 9.253
Ge -1.021 3.849 8.168
Ge -1.146 7.601 8.168
Ge 2.823 2.808 1.978
Ge 2.166 5.833 8.168
Ge 6.135 1.041 1.978
Ge 6.010 4.793 1.978
S -3.178 6.467 3.171
S -1.200 3.616 6.008
S -2.147 5.684 8.945
S 0.978 2.657 3.171
S 2.790 0.481 9.362
S -1.258 7.873 6.008
S 0.000 5.761 0.838
S 1.140 3.940 8.945
S 2.532 2.847 12.199
S 3.983 0.983 2.755
S 1.007 7.659 8.945
S 2.458 5.795 6.008
S 3.849 4.702 2.755
S 4.989 2.881 7.029
S 6.248 0.769 12.199
S 2.200 8.161 3.171
S 4.011 5.985 9.362
S 7.137 2.958 2.755
S 6.189 5.026 12.199
S 8.167 2.175 9.362
Cl 0.000 0.000 0.178
Cl 0.000 0.000 6.368
```


[5]
BaH2Cl4: calculated XRD peak list (Cu Kα), based on a cell relaxed with PBE.
Lines closer than 0.1° are merged.

Largest 10 diffraction maxima, by angle, 10° ≤ 2θ ≤ 80°:
d [Å], Position (°2θ), I_rel
6.130, 14.45, 100
4.755, 18.66, 53
3.810, 23.35, 40
3.706, 24.01, 29
3.424, 26.02, 60
2.948, 30.32, 66
2.573, 34.87, 38
2.553, 35.16, 43
2.426, 37.05, 33
2.386, 37.71, 45

Structural model:
```
14
Lattice="0.000 6.877 4.010 6.581 0.000 4.010 6.581 6.877 0.000" Properties=species:S:1:pos:R:3 pbc="T T T"
Ba 0.000 0.000 0.000
Ba 3.290 3.439 2.005
H 6.781 4.112 3.278
H 9.671 7.551 5.283
H 6.380 9.643 3.278
H 3.491 6.204 5.283
Cl 7.900 2.780 3.630
Cl 5.842 5.149 3.044
Cl 10.609 8.587 5.049
Cl 7.319 8.606 3.044
Cl 8.552 6.218 5.635
Cl 9.133 12.045 5.049
Cl 5.261 10.975 3.630
Cl 4.610 7.536 5.635
```


[6]
BaHCl3: calculated XRD peak list (Cu Kα), based on a cell relaxed with PBE.
Lines closer than 0.1° are merged.

Largest 10 diffraction maxima, by angle, 10° ≤ 2θ ≤ 80°:
d [Å], Position (°2θ), I_rel
5.427, 16.33, 58
4.779, 18.57, 47
4.568, 19.43, 100
3.882, 22.91, 66
3.121, 28.60, 59
2.907, 30.76, 39
2.728, 32.83, 39
2.645, 33.89, 61
2.568, 34.93, 37
2.485, 36.15, 52

Structural model:
```
20
Lattice="7.027 0.000 0.000 0.000 8.573 0.000 -6.406 0.000 9.147" Properties=species:S:1:pos:R:3 pbc="T T T"
Ba -0.367 1.119 2.162
Ba -3.570 3.167 6.735
Ba 4.190 5.406 2.412
Ba 0.987 7.454 6.985
H 1.307 4.768 1.001
H -1.896 8.092 5.575
H 2.517 0.482 3.572
H -0.687 3.805 8.146
Cl -5.292 1.401 8.587
Cl -2.089 2.886 4.013
Cl -4.161 5.562 8.818
Cl -0.958 7.298 4.244
Cl -2.331 0.026 6.806
Cl 0.872 4.260 2.233
Cl -0.252 4.313 6.914
Cl 2.952 8.547 2.341
Cl 1.578 1.275 4.903
Cl 4.781 3.011 0.329
Cl 2.709 5.688 5.133
Cl 5.912 7.172 0.560
```


[7]
BaH4Cl3: calculated XRD peak list (Cu Kα), based on a cell relaxed with PBE.
Lines closer than 0.1° are merged.

Largest 10 diffraction maxima, by angle, 10° ≤ 2θ ≤ 80°:
d [Å], Position (°2θ), I_rel
7.311, 12.11, 100
5.225, 16.97, 51
4.015, 22.14, 15
3.346, 26.64, 33
3.271, 27.26, 31
2.886, 30.99, 57
2.671, 33.55, 36
2.612, 34.33, 16
2.437, 36.88, 22
2.124, 42.56, 18

Structural model:
```
8
Lattice="7.371 -2.206 0.000 7.371 2.206 0.000 -0.672 0.000 5.225" Properties=species:S:1:pos:R:3 pbc="T T T"
Ba 0.000 0.000 0.000
H 2.134 0.000 2.441
H 2.599 0.000 1.847
H 11.471 0.000 3.378
H 11.936 0.000 2.784
Cl 5.250 0.000 0.383
Cl 7.035 0.000 2.612
Cl 8.820 0.000 4.841
```


[8]
Ba3H5Cl: calculated XRD peak list (Cu Kα), based on a cell relaxed with PBE.
Lines closer than 0.1° are merged.

Largest 10 diffraction maxima, by angle, 10° ≤ 2θ ≤ 80°:
d [Å], Position (°2θ), I_rel
3.616, 24.62, 44
3.544, 25.12, 51
3.426, 26.01, 100
3.112, 28.69, 34
2.846, 31.43, 25
2.237, 40.32, 29
2.161, 41.80, 16
2.070, 43.72, 23
1.944, 46.72, 23
1.845, 49.41, 20

Structural model:
```
18
Lattice="2.161 -7.233 0.000 2.161 7.233 0.000 0.000 0.000 12.198" Properties=species:S:1:pos:R:3 pbc="T T T"
Ba 2.161 6.025 9.149
Ba 2.161 1.793 6.678
Ba 2.161 1.793 11.619
Ba 2.161 -1.793 0.579
Ba 2.161 -1.793 5.520
Ba 2.161 -6.025 3.050
H 0.000 0.000 0.000
H 0.000 0.000 6.099
H 2.161 4.454 6.929
H 2.161 4.454 11.369
H 2.161 0.601 1.711
H 2.161 0.601 4.388
H 2.161 -0.601 7.810
H 2.161 -0.601 10.487
H 2.161 -4.454 0.830
H 2.161 -4.454 5.270
Cl 2.161 5.114 3.050
Cl 2.161 -5.114 9.149
```


[9]
BaH4Cl2O2: calculated XRD peak list (Cu Kα), based on a cell relaxed with PBE.
Lines closer than 0.1° are merged.

Largest 10 diffraction maxima, by angle, 10° ≤ 2θ ≤ 80°:
d [Å], Position (°2θ), I_rel
5.567, 15.92, 98
4.965, 17.87, 59
4.486, 19.79, 100
3.705, 24.02, 54
3.364, 26.50, 63
2.973, 30.06, 55
2.959, 30.21, 89
2.724, 32.88, 72
2.557, 35.09, 61
2.425, 37.08, 68

Structural model:
```
36
Lattice="6.897 0.000 0.000 0.000 11.134 0.000 -6.805 0.000 7.058" Properties=species:S:1:pos:R:3 pbc="T T T"
Ba -0.239 2.429 1.005
Ba -3.641 3.138 4.534
Ba 3.733 7.996 2.524
Ba 0.331 8.705 6.053
H -1.655 0.704 3.394
H -5.058 4.862 6.923
H -0.159 6.966 3.192
H -3.562 9.735 6.721
H -0.937 6.247 4.364
H 2.465 10.454 0.834
H -0.617 1.501 4.219
H 2.786 4.066 0.690
H -2.694 7.068 6.368
H 0.708 9.633 2.839
H -2.374 0.680 6.224
H 1.029 4.887 2.695
H 3.654 1.399 0.337
H 0.251 4.168 3.866
H 5.150 6.271 0.135
H 1.747 10.429 3.664
Cl -4.297 6.512 5.063
Cl -0.895 10.189 1.534
Cl 1.010 6.699 1.463
Cl -2.393 10.002 4.992
Cl 2.485 1.132 2.066
Cl -0.918 4.435 5.595
Cl 0.987 0.945 5.524
Cl 4.389 4.622 1.995
O -1.348 1.625 3.554
O 2.054 3.942 0.025
O -0.810 7.128 3.928
O 2.593 9.572 0.399
O -2.501 1.561 6.659
O 0.902 4.006 3.130
O -1.963 7.192 7.033
O 1.440 9.509 3.504
```


[10]
BaH4Cl2O2: calculated XRD peak list (Cu Kα), based on a cell relaxed with PBE.
Lines closer than 0.1° are merged.

Largest 10 diffraction maxima, by angle, 10° ≤ 2θ ≤ 80°:
d [Å], Position (°2θ), I_rel
6.101, 14.52, 55
5.377, 16.49, 100
4.707, 18.85, 82
4.189, 21.21, 43
3.434, 25.94, 59
3.013, 29.65, 58
2.944, 30.36, 50
2.790, 32.09, 46
2.461, 36.51, 50
2.249, 40.09, 50

Structural model:
```
36
Lattice="6.101 0.000 0.000 0.000 11.380 0.000 -0.100 0.000 8.379" Properties=species:S:1:pos:R:3 pbc="T T T"
Ba 0.843 1.980 1.420
Ba 0.793 3.710 5.609
Ba 5.209 7.670 2.769
Ba 5.159 9.400 6.959
H 1.403 0.513 4.692
H 1.453 5.177 0.503
H 2.069 0.847 7.009
H 2.119 4.843 2.820
H 2.419 1.333 3.849
H 2.369 4.356 8.038
H 2.693 7.464 5.206
H 2.743 9.605 1.016
H 3.259 1.775 7.363
H 3.308 3.915 3.173
H 3.632 7.023 0.341
H 3.582 10.046 4.530
H 3.883 6.537 5.559
H 3.933 10.533 1.370
H 4.548 6.203 7.876
H 4.598 10.867 3.686
Cl 0.636 6.939 5.519
Cl 0.686 10.130 1.330
Cl 2.060 6.795 1.831
Cl 2.010 10.274 6.020
Cl 3.991 1.105 2.359
Cl 3.941 4.585 6.548
Cl 5.316 1.249 7.049
Cl 5.366 4.440 2.860
O 1.480 1.351 4.169
O 1.430 4.338 8.358
O 2.266 1.741 7.389
O 2.316 3.949 3.199
O 3.685 7.430 5.180
O 3.735 9.639 0.990
O 4.571 7.041 0.021
O 4.521 10.028 4.210
```